Theoretical powder X-ray diffraction pattern
Compound: Sr3Tl7Pb2
Radiation: copper Kα
Structure: a crystal structure in Alexandria, relaxed with GGA-PBE

Most intense lines, 2θ from 5° to 70°, by intensity:
d/Å, 2θ/deg, I_rel
2.793, 32.05, 100
2.673, 33.52, 27
2.610, 34.36, 25
3.154, 28.29, 22
1.868, 48.76, 19
1.565, 59.00, 18
5.220, 16.99, 18
1.540, 60.09, 17
1.431, 65.18, 13
2.453, 36.63, 10

Crystal structure
```
Sr3Tl7Pb2
1.0
2.673 -14.720 0.000
2.673 14.720 0.000
0.000 0.000 5.220
Sr Tl Pb
3 7 2
Cartesian
0.000 0.000 0.000
2.673 10.032 0.000
2.673 -10.032 0.000
2.673 12.404 2.610
2.673 7.920 2.610
2.673 2.328 0.000
2.673 0.000 2.610
2.673 -2.328 0.000
2.673 -7.920 2.610
2.673 -12.404 2.610
2.673 4.436 2.610
2.673 -4.436 2.610
```

---

Theoretical powder X-ray diffraction pattern
Compound: SrTl10Pb2
Radiation: copper Kα
Structure: a crystal structure in Alexandria, relaxed with GGA-PBE

Most intense lines, 2θ from 5° to 70°, by intensity:
d/Å, 2θ/deg, I_rel
2.842, 31.48, 100
2.541, 35.32, 83
2.554, 35.14, 58
2.855, 31.34, 48
2.865, 31.22, 39
3.292, 27.09, 31
1.646, 55.85, 31
5.698, 15.55, 28
2.566, 34.97, 26
1.640, 56.08, 21

Crystal structure
```
SrTl10Pb2
1.0
0.000 8.025 8.124
3.280 0.000 8.124
3.280 8.025 0.000
Sr Tl Pb
1 10 2
Cartesian
0.000 0.000 0.000
1.640 4.013 0.000
3.280 5.177 2.894
3.280 6.347 6.426
3.280 10.873 2.894
3.280 9.703 6.426
1.640 4.013 8.124
3.280 6.347 9.822
3.280 5.177 13.354
3.280 9.703 9.822
3.280 10.873 13.354
1.640 0.000 4.062
1.640 8.025 4.062
```

---

Theoretical powder X-ray diffraction pattern
Compound: Sr2Tl7Pb2
Radiation: copper Kα
Structure: a crystal structure in Alexandria, relaxed with GGA-PBE

Most intense lines, 2θ from 5° to 70°, by intensity:
d/Å, 2θ/deg, I_rel
2.528, 35.52, 100
2.993, 29.85, 60
4.052, 21.94, 51
2.753, 32.53, 41
4.192, 21.20, 36
2.026, 44.73, 34
3.003, 29.75, 25
1.622, 56.74, 23
2.449, 36.70, 22
2.788, 32.11, 21

Crystal structure
```
Sr2Tl7Pb2
1.0
5.505 -5.986 0.000
5.505 5.986 0.000
0.000 0.000 6.466
Sr Tl Pb
2 7 2
Cartesian
2.039 0.000 0.000
8.971 0.000 0.000
0.000 0.000 3.233
2.753 2.993 1.621
2.753 2.993 4.845
2.753 -2.993 1.621
2.753 -2.993 4.845
5.505 0.000 1.569
5.505 0.000 4.897
5.505 2.825 3.233
5.505 -2.825 3.233
```

---

Theoretical powder X-ray diffraction pattern
Compound: SrYPb2
Radiation: copper Kα
Structure: a crystal structure in Alexandria, relaxed with GGA-PBE

Most intense lines, 2θ from 5° to 70°, by intensity:
d/Å, 2θ/deg, I_rel
2.900, 30.84, 100
2.839, 31.51, 95
2.614, 34.30, 38
2.600, 34.50, 37
2.284, 39.46, 26
4.568, 19.43, 22
1.720, 53.26, 22
1.716, 53.40, 22
1.569, 58.88, 16
1.562, 59.13, 16

Crystal structure
```
SrYPb2
1.0
3.753 -4.568 0.000
3.753 4.568 0.000
-0.020 0.000 3.624
Sr Y Pb
1 1 2
Cartesian
0.000 0.000 0.000
3.753 0.000 0.000
1.867 2.284 1.812
1.867 -2.284 1.812
```

---

Theoretical powder X-ray diffraction pattern
Compound: SrZn3Pb3
Radiation: copper Kα
Structure: a crystal structure in Alexandria, relaxed with GGA-PBE

Most intense lines, 2θ from 5° to 70°, by intensity:
d/Å, 2θ/deg, I_rel
3.133, 28.49, 100
3.432, 25.96, 65
2.051, 44.15, 61
2.215, 40.73, 53
5.427, 16.33, 48
3.837, 23.18, 41
1.919, 47.38, 40
1.357, 69.25, 26
2.129, 42.47, 19
1.675, 54.82, 19

Crystal structure
```
SrZn3Pb3
1.0
7.675 0.000 0.000
0.000 7.675 0.000
0.000 0.000 7.675
Sr Zn Pb
2 6 6
Cartesian
0.000 0.000 0.000
3.837 3.837 3.837
0.000 1.919 3.837
0.000 5.756 3.837
1.919 3.837 0.000
3.837 0.000 1.919
3.837 0.000 5.756
5.756 3.837 0.000
0.000 3.837 1.919
0.000 3.837 5.756
1.919 0.000 3.837
3.837 1.919 0.000
3.837 5.756 0.000
5.756 0.000 3.837
```

---

Theoretical powder X-ray diffraction pattern
Compound: Sr4ZnPb3
Radiation: copper Kα
Structure: a crystal structure in Alexandria, relaxed with GGA-PBE

Most intense lines, 2θ from 5° to 70°, by intensity:
d/Å, 2θ/deg, I_rel
2.886, 30.99, 100
1.667, 55.11, 30
2.041, 44.39, 19
4.081, 21.78, 12
1.665, 55.17, 10
1.442, 64.64, 6
1.444, 64.53, 6
1.825, 49.97, 6
2.356, 38.19, 4
4.713, 18.83, 3

Crystal structure
```
Sr4ZnPb3
1.0
2.884 1.665 9.440
-2.884 1.665 9.440
0.000 -3.330 9.440
Sr Zn Pb
4 1 3
Cartesian
0.000 0.000 3.475
0.000 0.000 10.569
0.000 0.000 17.751
0.000 0.000 24.845
0.000 0.000 0.000
0.000 0.000 7.111
0.000 0.000 14.160
0.000 0.000 21.208
```

---

Theoretical powder X-ray diffraction pattern
Compound: SrZn3Pb
Radiation: copper Kα
Structure: a crystal structure in Alexandria, relaxed with GGA-PBE

Most intense lines, 2θ from 5° to 70°, by intensity:
d/Å, 2θ/deg, I_rel
2.698, 33.21, 100
3.815, 23.31, 91
5.396, 16.43, 72
1.908, 47.67, 72
2.203, 40.97, 43
2.413, 37.26, 40
1.558, 59.33, 25
1.442, 64.63, 24
1.799, 50.76, 21
1.706, 53.72, 20

Crystal structure
```
SrZn3Pb
1.0
5.396 0.000 0.000
0.000 5.396 0.000
0.000 0.000 5.396
Sr Zn Pb
1 3 1
Cartesian
0.000 0.000 0.000
0.000 2.698 2.698
2.698 0.000 2.698
2.698 2.698 0.000
2.698 2.698 2.698
```

---

Theoretical powder X-ray diffraction pattern
Compound: Sr3ZnPb3
Radiation: copper Kα
Structure: a crystal structure in Alexandria, relaxed with GGA-PBE

Most intense lines, 2θ from 5° to 70°, by intensity:
d/Å, 2θ/deg, I_rel
3.171, 28.14, 100
2.589, 34.65, 99
2.531, 35.46, 91
4.627, 19.18, 61
3.033, 29.45, 53
3.150, 28.33, 34
2.780, 32.20, 34
3.209, 27.80, 31
2.571, 34.90, 30
6.064, 14.61, 26

Crystal structure
```
Sr3ZnPb3
1.0
6.067 -2.532 0.000
6.067 2.532 0.000
-5.600 0.000 15.278
Sr Zn Pb
6 2 6
Cartesian
-1.744 0.000 5.882
-4.011 0.000 14.050
1.630 0.000 3.534
4.904 0.000 11.743
10.545 0.000 1.228
8.278 0.000 9.395
-0.272 0.000 9.308
6.806 0.000 5.970
1.736 0.000 7.058
-0.580 0.000 14.108
1.389 0.000 11.648
5.145 0.000 3.630
7.114 0.000 1.170
4.798 0.000 8.220
```

---

Theoretical powder X-ray diffraction pattern
Compound: Ta2Pb
Radiation: copper Kα
Structure: a crystal structure in Alexandria, relaxed with GGA-PBE

Most intense lines, 2θ from 5° to 70°, by intensity:
d/Å, 2θ/deg, I_rel
2.450, 36.69, 100
2.465, 36.45, 95
2.484, 36.17, 44
2.350, 38.30, 43
1.770, 51.64, 20
1.414, 66.09, 18
1.441, 64.67, 17
1.372, 68.35, 16
1.697, 54.05, 15
1.424, 65.54, 13

Crystal structure
```
Ta2Pb
1.0
5.469 -1.770 0.000
5.469 1.770 0.000
-2.519 0.000 6.403
Ta Pb
4 2
Cartesian
-0.437 0.000 1.454
1.367 0.000 5.985
7.053 0.000 0.418
8.857 0.000 4.949
2.732 0.000 2.520
5.688 0.000 3.882
```

---

Theoretical powder X-ray diffraction pattern
Compound: Ta3Pb
Radiation: copper Kα
Structure: a crystal structure in Alexandria, relaxed with GGA-PBE

Most intense lines, 2θ from 5° to 70°, by intensity:
d/Å, 2θ/deg, I_rel
2.489, 36.09, 100
2.071, 43.71, 30
1.557, 59.36, 23
2.361, 38.12, 21
1.386, 67.57, 15
1.464, 63.53, 10
1.587, 58.11, 1
3.148, 28.35, 1
2.797, 31.99, 1
1.730, 52.92, 1

Crystal structure
```
Ta3Pb
1.0
2.929 0.000 0.000
0.000 2.929 0.000
0.000 0.000 9.444
Ta Pb
3 1
Cartesian
0.000 0.000 0.000
1.464 1.464 2.253
1.464 1.464 7.190
0.000 0.000 4.722
```

---

Theoretical powder X-ray diffraction pattern
Compound: Ta2Te4Pb
Radiation: copper Kα
Structure: a crystal structure in Alexandria, relaxed with GGA-PBE

Most intense lines, 2θ from 5° to 70°, by intensity:
d/Å, 2θ/deg, I_rel
2.305, 39.08, 100
2.914, 30.68, 92
3.658, 24.33, 69
2.042, 44.37, 51
3.376, 26.40, 45
2.101, 43.06, 44
2.464, 36.47, 41
3.221, 27.69, 36
4.609, 19.26, 32
3.510, 25.37, 30

Crystal structure
```
Ta2Te4Pb
1.0
7.109 -4.202 0.000
7.109 4.202 0.000
-3.470 0.000 7.440
Ta Te Pb
4 8 2
Cartesian
0.000 0.000 0.000
-1.735 0.000 3.720
3.554 2.101 0.000
3.554 -2.101 0.000
5.894 2.263 1.652
2.375 0.000 1.499
0.680 0.000 5.508
4.853 2.263 5.788
5.894 -2.263 1.652
10.067 0.000 1.931
8.372 0.000 5.941
4.853 -2.263 5.788
3.472 0.000 4.372
7.275 0.000 3.067
```

---

Theoretical powder X-ray diffraction pattern
Compound: TaTi8Pb2
Radiation: copper Kα
Structure: a crystal structure in Alexandria, relaxed with GGA-PBE

Most intense lines, 2θ from 5° to 70°, by intensity:
d/Å, 2θ/deg, I_rel
2.314, 38.92, 100
3.867, 23.00, 62
3.652, 24.37, 48
2.499, 35.94, 41
2.373, 37.91, 39
3.213, 27.77, 25
3.334, 26.74, 24
1.990, 45.59, 19
2.013, 45.02, 18
1.358, 69.15, 18

Crystal structure
```
TaTi8Pb2
1.0
-2.373 3.335 6.547
2.373 -3.335 6.547
2.373 3.335 -6.547
Ta Ti Pb
1 8 2
Cartesian
0.000 0.000 0.000
2.373 0.000 1.991
2.373 -1.374 4.899
2.373 1.881 0.000
0.000 1.961 1.648
2.373 1.374 4.899
0.000 1.454 6.547
0.000 4.709 1.648
0.000 3.335 4.557
0.000 0.000 3.915
0.000 0.000 9.180
```